[1]
# Mn3Ni2SbP6O24
Theoretical X-ray diffraction stick pattern, copper Kα. Input: a structure optimized by DFT (PBE+U).

The 6 most intense peaks (10° ≤ 2θ ≤ 80°), low angle first:
2θ (°), d (Å), intensity
20.48, 4.336, 100
24.22, 3.674, 83
33.13, 2.704, 71
35.87, 2.503, 45
47.48, 1.915, 32
49.63, 1.837, 28

Unit cell a=8.540 b=8.540 c=8.540 alpha=61.03 beta=61.03 gamma=61.03
Fractional positions:
Mn1 0.000 0.000 0.000
Mn2 0.211 0.211 0.211
Mn3 0.713 0.713 0.713
Ni1 0.351 0.351 0.351
Ni2 0.856 0.856 0.856
Sb1 0.499 0.499 0.499
P1 0.102 0.813 0.405
P2 0.308 0.608 0.904
P3 0.405 0.102 0.813
P4 0.608 0.904 0.308
P5 0.813 0.405 0.102
P6 0.904 0.308 0.608
O1 0.042 0.840 0.251
O2 0.098 0.297 0.444
O3 0.112 0.762 0.913
O4 0.171 0.965 0.369
O5 0.251 0.042 0.840
O6 0.269 0.609 0.419
O7 0.297 0.444 0.098
O8 0.349 0.537 0.745
O9 0.369 0.171 0.965
O10 0.419 0.269 0.609
O11 0.444 0.098 0.297
O12 0.466 0.671 0.863
O13 0.537 0.745 0.349
O14 0.605 0.950 0.791
O15 0.609 0.419 0.269
O16 0.671 0.863 0.466
O17 0.745 0.349 0.537
O18 0.762 0.913 0.112
O19 0.791 0.605 0.950
O20 0.840 0.251 0.042
O21 0.863 0.466 0.671
O22 0.913 0.112 0.762
O23 0.950 0.791 0.605
O24 0.965 0.369 0.171


[2]
# Mn2Ni3SbP6O24
Theoretical X-ray diffraction stick pattern, copper Kα. Input: a structure optimized by DFT (PBE+U).

The 6 most intense peaks (10° ≤ 2θ ≤ 80°), low angle first:
2θ (°), d (Å), intensity
20.41, 4.351, 100
24.05, 3.700, 81
32.75, 2.734, 68
35.76, 2.511, 54
46.96, 1.935, 31
55.92, 1.644, 31

Unit cell a=8.641 b=8.641 c=8.641 alpha=60.47 beta=60.47 gamma=60.47
Fractional positions:
Mn1 0.000 0.000 0.000
Mn2 0.493 0.493 0.493
Ni1 0.138 0.138 0.138
Ni2 0.350 0.350 0.350
Ni3 0.636 0.636 0.636
Sb1 0.851 0.851 0.851
P1 0.039 0.449 0.740
P2 0.247 0.947 0.534
P3 0.449 0.740 0.039
P4 0.534 0.247 0.947
P5 0.740 0.039 0.449
P6 0.947 0.534 0.247
O1 0.003 0.608 0.807
O2 0.055 0.258 0.901
O3 0.081 0.929 0.738
O4 0.101 0.507 0.304
O5 0.179 0.982 0.386
O6 0.235 0.439 0.584
O7 0.258 0.901 0.055
O8 0.304 0.101 0.507
O9 0.386 0.179 0.982
O10 0.403 0.749 0.553
O11 0.439 0.584 0.235
O12 0.492 0.673 0.886
O13 0.507 0.304 0.101
O14 0.553 0.403 0.749
O15 0.584 0.235 0.439
O16 0.608 0.807 0.003
O17 0.673 0.886 0.492
O18 0.738 0.081 0.929
O19 0.749 0.553 0.403
O20 0.807 0.003 0.608
O21 0.886 0.492 0.673
O22 0.901 0.055 0.258
O23 0.929 0.738 0.081
O24 0.982 0.386 0.179


[3]
# Mn3NiSn2P6O24
Theoretical X-ray diffraction stick pattern, copper Kα. Input: a structure optimized by DFT (PBE+U).

The 6 most intense peaks (10° ≤ 2θ ≤ 80°), low angle first:
2θ (°), d (Å), intensity
20.26, 4.383, 100
24.04, 3.702, 63
32.99, 2.715, 89
35.48, 2.530, 46
49.22, 1.851, 36
62.13, 1.494, 32

Unit cell a=8.571 b=8.571 c=8.571 alpha=61.50 beta=61.50 gamma=61.50
Fractional positions:
Mn1 0.000 0.000 0.000
Mn2 0.200 0.200 0.200
Mn3 0.501 0.501 0.501
Ni1 0.703 0.703 0.703
Sn1 0.350 0.350 0.350
Sn2 0.849 0.849 0.849
P1 0.100 0.799 0.402
P2 0.304 0.602 0.899
P3 0.402 0.100 0.799
P4 0.602 0.899 0.304
P5 0.799 0.402 0.100
P6 0.899 0.304 0.602
O1 0.031 0.836 0.250
O2 0.098 0.755 0.918
O3 0.102 0.284 0.448
O4 0.174 0.946 0.365
O5 0.250 0.031 0.836
O6 0.254 0.596 0.420
O7 0.284 0.448 0.102
O8 0.335 0.530 0.752
O9 0.365 0.174 0.946
O10 0.420 0.254 0.596
O11 0.448 0.102 0.284
O12 0.452 0.674 0.859
O13 0.530 0.752 0.335
O14 0.596 0.420 0.254
O15 0.604 0.946 0.781
O16 0.674 0.859 0.452
O17 0.752 0.335 0.530
O18 0.755 0.918 0.098
O19 0.781 0.604 0.946
O20 0.836 0.250 0.031
O21 0.859 0.452 0.674
O22 0.918 0.098 0.755
O23 0.946 0.365 0.174
O24 0.946 0.781 0.604


[4]
# Ti3MnNi2P6O24
Theoretical X-ray diffraction stick pattern, copper Kα. Input: a structure optimized by DFT (PBE+U).

The 6 most intense peaks (10° ≤ 2θ ≤ 80°), low angle first:
2θ (°), d (Å), intensity
20.50, 4.333, 75
24.27, 3.668, 100
33.22, 2.697, 69
35.90, 2.501, 36
47.61, 1.910, 29
49.72, 1.834, 27

Unit cell a=8.515 b=8.515 c=8.515 alpha=61.17 beta=61.17 gamma=61.17
Fractional positions:
Ti1 0.000 0.000 0.000
Ti2 0.211 0.211 0.211
Ti3 0.503 0.503 0.503
Mn1 0.712 0.712 0.712
Ni1 0.355 0.355 0.355
Ni2 0.855 0.855 0.855
P1 0.112 0.810 0.399
P2 0.306 0.610 0.907
P3 0.399 0.112 0.810
P4 0.610 0.907 0.306
P5 0.810 0.399 0.112
P6 0.907 0.306 0.610
O1 0.042 0.859 0.237
O2 0.102 0.283 0.446
O3 0.107 0.766 0.916
O4 0.194 0.966 0.336
O5 0.237 0.042 0.859
O6 0.272 0.613 0.408
O7 0.283 0.446 0.102
O8 0.336 0.194 0.966
O9 0.360 0.545 0.738
O10 0.408 0.272 0.613
O11 0.446 0.102 0.283
O12 0.453 0.676 0.879
O13 0.545 0.738 0.360
O14 0.593 0.960 0.808
O15 0.613 0.408 0.272
O16 0.676 0.879 0.453
O17 0.738 0.360 0.545
O18 0.766 0.916 0.107
O19 0.808 0.593 0.960
O20 0.859 0.237 0.042
O21 0.879 0.453 0.676
O22 0.916 0.107 0.766
O23 0.960 0.808 0.593
O24 0.966 0.336 0.194


[5]
# TiMn3Ni2P6O24
Theoretical X-ray diffraction stick pattern, copper Kα. Input: a structure optimized by DFT (PBE+U).

The 6 most intense peaks (10° ≤ 2θ ≤ 80°), low angle first:
2θ (°), d (Å), intensity
20.73, 4.285, 90
24.56, 3.625, 100
33.65, 2.663, 69
36.32, 2.474, 40
48.23, 1.887, 34
50.34, 1.813, 27

Unit cell a=8.409 b=8.409 c=8.409 alpha=61.26 beta=61.26 gamma=61.26
Fractional positions:
Ti1 0.000 0.000 0.000
Mn1 0.286 0.286 0.286
Mn2 0.502 0.502 0.502
Mn3 0.786 0.786 0.786
Ni1 0.144 0.144 0.144
Ni2 0.645 0.645 0.645
P1 0.100 0.395 0.687
P2 0.188 0.893 0.596
P3 0.395 0.687 0.100
P4 0.596 0.188 0.893
P5 0.687 0.100 0.395
P6 0.893 0.596 0.188
O1 0.030 0.827 0.632
O2 0.055 0.397 0.205
O3 0.081 0.233 0.888
O4 0.136 0.329 0.529
O5 0.137 0.964 0.758
O6 0.205 0.055 0.397
O7 0.233 0.888 0.081
O8 0.259 0.459 0.652
O9 0.329 0.529 0.136
O10 0.388 0.733 0.590
O11 0.397 0.205 0.055
O12 0.459 0.652 0.259
O13 0.529 0.136 0.329
O14 0.555 0.704 0.898
O15 0.590 0.388 0.733
O16 0.632 0.030 0.827
O17 0.652 0.259 0.459
O18 0.704 0.898 0.555
O19 0.733 0.590 0.388
O20 0.758 0.137 0.964
O21 0.827 0.632 0.030
O22 0.888 0.081 0.233
O23 0.898 0.555 0.704
O24 0.964 0.758 0.137


[6]
# MnV3Ni2P6O24
Theoretical X-ray diffraction stick pattern, copper Kα. Input: a structure optimized by DFT (PBE+U).

The 6 most intense peaks (10° ≤ 2θ ≤ 80°), low angle first:
2θ (°), d (Å), intensity
20.52, 4.329, 81
24.32, 3.659, 100
33.36, 2.686, 67
35.93, 2.499, 37
47.79, 1.903, 32
49.84, 1.830, 26

Unit cell a=8.480 b=8.480 c=8.480 alpha=61.40 beta=61.40 gamma=61.40
Fractional positions:
Mn1 0.000 0.000 0.000
V1 0.285 0.285 0.285
V2 0.500 0.500 0.500
V3 0.787 0.787 0.787
Ni1 0.142 0.142 0.142
Ni2 0.642 0.642 0.642
P1 0.100 0.686 0.396
P2 0.189 0.596 0.896
P3 0.396 0.100 0.686
P4 0.596 0.896 0.189
P5 0.686 0.396 0.100
P6 0.896 0.189 0.596
O1 0.024 0.639 0.832
O2 0.054 0.204 0.395
O3 0.094 0.880 0.242
O4 0.141 0.525 0.329
O5 0.162 0.746 0.960
O6 0.204 0.395 0.054
O7 0.242 0.094 0.880
O8 0.255 0.631 0.477
O9 0.329 0.141 0.525
O10 0.387 0.573 0.733
O11 0.395 0.054 0.204
O12 0.477 0.255 0.631
O13 0.525 0.329 0.141
O14 0.558 0.902 0.697
O15 0.573 0.733 0.387
O16 0.631 0.477 0.255
O17 0.639 0.832 0.024
O18 0.697 0.558 0.902
O19 0.733 0.387 0.573
O20 0.746 0.960 0.162
O21 0.832 0.024 0.639
O22 0.880 0.242 0.094
O23 0.902 0.697 0.558
O24 0.960 0.162 0.746


[7]
# Mn3VNi2P6O24
Theoretical X-ray diffraction stick pattern, copper Kα. Input: a structure optimized by DFT (PBE+U).

The 6 most intense peaks (10° ≤ 2θ ≤ 80°), low angle first:
2θ (°), d (Å), intensity
20.69, 4.293, 89
24.45, 3.640, 100
33.41, 2.682, 69
36.24, 2.478, 40
47.91, 1.899, 35
50.12, 1.820, 26

Unit cell a=8.470 b=8.470 c=8.470 alpha=60.90 beta=60.90 gamma=60.90
Fractional positions:
Mn1 0.000 0.000 0.000
Mn2 0.216 0.216 0.216
Mn3 0.500 0.500 0.500
V1 0.715 0.715 0.715
Ni1 0.358 0.358 0.358
Ni2 0.858 0.858 0.858
P1 0.109 0.399 0.814
P2 0.313 0.901 0.608
P3 0.399 0.814 0.109
P4 0.608 0.313 0.901
P5 0.814 0.109 0.399
P6 0.901 0.608 0.313
O1 0.047 0.240 0.848
O2 0.098 0.448 0.306
O3 0.115 0.915 0.771
O4 0.169 0.370 0.972
O5 0.240 0.848 0.047
O6 0.268 0.416 0.614
O7 0.306 0.098 0.448
O8 0.346 0.743 0.547
O9 0.370 0.972 0.169
O10 0.416 0.614 0.268
O11 0.448 0.306 0.098
O12 0.474 0.856 0.677
O13 0.547 0.346 0.743
O14 0.599 0.797 0.944
O15 0.614 0.268 0.416
O16 0.677 0.474 0.856
O17 0.743 0.547 0.346
O18 0.771 0.115 0.915
O19 0.797 0.944 0.599
O20 0.848 0.047 0.240
O21 0.856 0.677 0.474
O22 0.915 0.771 0.115
O23 0.944 0.599 0.797
O24 0.972 0.169 0.370


[8]
# Mn2Ni3P6WO24
Theoretical X-ray diffraction stick pattern, copper Kα. Input: a structure optimized by DFT (PBE+U).

The 6 most intense peaks (10° ≤ 2θ ≤ 80°), low angle first:
2θ (°), d (Å), intensity
20.36, 4.362, 100
20.53, 4.326, 34
24.00, 3.708, 73
32.70, 2.738, 64
35.65, 2.518, 39
55.78, 1.648, 30

Unit cell a=8.653 b=8.653 c=8.653 alpha=60.53 beta=60.53 gamma=60.53
Fractional positions:
Mn1 0.000 0.000 0.000
Mn2 0.492 0.492 0.492
Ni1 0.137 0.137 0.137
Ni2 0.349 0.349 0.349
Ni3 0.635 0.635 0.635
P1 0.038 0.444 0.736
P2 0.248 0.947 0.528
P3 0.444 0.736 0.038
P4 0.528 0.248 0.947
P5 0.736 0.038 0.444
P6 0.947 0.528 0.248
W1 0.849 0.849 0.849
O1 0.054 0.256 0.900
O2 0.079 0.918 0.732
O3 0.103 0.509 0.295
O4 0.179 0.980 0.381
O5 0.229 0.449 0.581
O6 0.256 0.900 0.054
O7 0.295 0.103 0.509
O8 0.381 0.179 0.980
O9 0.401 0.748 0.553
O10 0.449 0.581 0.229
O11 0.486 0.670 0.885
O12 0.509 0.295 0.103
O13 0.553 0.401 0.748
O14 0.581 0.229 0.449
O15 0.612 0.810 0.978
O16 0.670 0.885 0.486
O17 0.732 0.079 0.918
O18 0.748 0.553 0.401
O19 0.810 0.978 0.612
O20 0.885 0.486 0.670
O21 0.900 0.054 0.256
O22 0.918 0.732 0.079
O23 0.978 0.612 0.810
O24 0.980 0.381 0.179


Repeat the second record exactly.
# Mn2Ni3SbP6O24
Theoretical X-ray diffraction stick pattern, copper Kα. Input: a structure optimized by DFT (PBE+U).

The 6 most intense peaks (10° ≤ 2θ ≤ 80°), low angle first:
2θ (°), d (Å), intensity
20.41, 4.351, 100
24.05, 3.700, 81
32.75, 2.734, 68
35.76, 2.511, 54
46.96, 1.935, 31
55.92, 1.644, 31

Unit cell a=8.641 b=8.641 c=8.641 alpha=60.47 beta=60.47 gamma=60.47
Fractional positions:
Mn1 0.000 0.000 0.000
Mn2 0.493 0.493 0.493
Ni1 0.138 0.138 0.138
Ni2 0.350 0.350 0.350
Ni3 0.636 0.636 0.636
Sb1 0.851 0.851 0.851
P1 0.039 0.449 0.740
P2 0.247 0.947 0.534
P3 0.449 0.740 0.039
P4 0.534 0.247 0.947
P5 0.740 0.039 0.449
P6 0.947 0.534 0.247
O1 0.003 0.608 0.807
O2 0.055 0.258 0.901
O3 0.081 0.929 0.738
O4 0.101 0.507 0.304
O5 0.179 0.982 0.386
O6 0.235 0.439 0.584
O7 0.258 0.901 0.055
O8 0.304 0.101 0.507
O9 0.386 0.179 0.982
O10 0.403 0.749 0.553
O11 0.439 0.584 0.235
O12 0.492 0.673 0.886
O13 0.507 0.304 0.101
O14 0.553 0.403 0.749
O15 0.584 0.235 0.439
O16 0.608 0.807 0.003
O17 0.673 0.886 0.492
O18 0.738 0.081 0.929
O19 0.749 0.553 0.403
O20 0.807 0.003 0.608
O21 0.886 0.492 0.673
O22 0.901 0.055 0.258
O23 0.929 0.738 0.081
O24 0.982 0.386 0.179